# 1
For Sr6Zn2N, a cell relaxed with PBE gives the calculated powder diffraction line list in this record (Cu Kα).
Intensities are scaled so that the largest is 100.

Structure:
```
data_Sr6Zn2N
_cell_length_a 7.4229
_cell_length_b 8.1225
_cell_length_c 12.7633
_cell_angle_alpha 90.00
_cell_angle_beta 123.57
_cell_angle_gamma 90.00
_symmetry_space_group_name_H-M 'P 1 21/c 1'
_symmetry_Int_Tables_number 14
loop_
_symmetry_equiv_pos_as_xyz
'x,y,z'
'-x,-y,-z'
'-x,y+1/2,-z+1/2'
'x,-y+1/2,z+1/2'
loop_
_atom_site_label
_atom_site_fract_x
_atom_site_fract_y
_atom_site_fract_z
Sr1 0.1249 0.0261 0.2339
Sr2 0.2112 0.7158 0.0517
Sr3 0.3446 0.1690 0.0508
Zn1 0.2837 0.0914 0.7477
N1 0.0000 0.0000 0.0000
```

Main lines, low angle first (10° ≤ 2θ ≤ 90°):
- (2 1 -2), 3.374 Å, 2θ 26.4, I 36
- (1 0 2), 3.243 Å, 2θ 27.5, I 62
- (0 2 2), 3.228 Å, 2θ 27.6, I 100
- (2 1 -3), 3.188 Å, 2θ 28.0, I 47
- (1 0 -4), 3.157 Å, 2θ 28.3, I 31
- (2 0 0), 3.092 Å, 2θ 28.9, I 30
- (1 2 1), 2.982 Å, 2θ 30.0, I 27
- (1 2 -3), 2.940 Å, 2θ 30.4, I 45
- (0 2 3), 2.670 Å, 2θ 33.6, I 35
- (0 0 4), 2.659 Å, 2θ 33.7, I 31
- (1 3 0), 2.481 Å, 2θ 36.2, I 40
- (3 1 -1), 2.188 Å, 2θ 41.3, I 25

# 2
For Y2HoTh, a cell relaxed with PBE gives the calculated powder diffraction line list in this record (Cu Kα).
Intensities are scaled so that the largest is 100.

Structure:
```
data_Y2HoTh
_cell_length_a 3.5495
_cell_length_b 6.7823
_cell_length_c 11.1019
_cell_angle_alpha 90.70
_cell_angle_beta 90.02
_cell_angle_gamma 105.09
_symmetry_space_group_name_H-M 'P -1'
_symmetry_Int_Tables_number 2
loop_
_symmetry_equiv_pos_as_xyz
'x,y,z'
'-x,-y,-z'
loop_
_atom_site_label
_atom_site_fract_x
_atom_site_fract_y
_atom_site_fract_z
Y1 0.0193 0.0381 0.2452
Y2 0.2462 0.4911 0.7461
Ho1 0.3688 0.7383 0.0146
Th1 0.3718 0.7457 0.4856
```

Main lines, low angle first (10° ≤ 2θ ≤ 90°):
- (0 0 2), 5.551 Å, 2θ 16.0, I 63
- (1 -1 0), 3.426 Å, 2θ 26.0, I 32
- (0 2 0), 3.273 Å, 2θ 27.2, I 32
- (1 -1 2), 2.920 Å, 2θ 30.6, I 93
- (-1 1 2), 2.911 Å, 2θ 30.7, I 90
- (0 2 -2), 2.836 Å, 2θ 31.5, I 100
- (0 2 2), 2.804 Å, 2θ 31.9, I 100
- (0 0 4), 2.775 Å, 2θ 32.3, I 93
- (1 1 0), 2.754 Å, 2θ 32.5, I 85
- (1 1 -4), 1.963 Å, 2θ 46.3, I 31
- (2 1 -2), 1.504 Å, 2θ 61.7, I 37
- (-2 3 2), 1.500 Å, 2θ 61.9, I 30

# 3
For CePuTh2N4, a cell relaxed with PBE gives the calculated powder diffraction line list in this record (Cu Kα).
Intensities are scaled so that the largest is 100.

Structure:
```
data_CePuTh2N4
_cell_length_a 6.2294
_cell_length_b 3.6098
_cell_length_c 6.2552
_cell_angle_alpha 90.00
_cell_angle_beta 109.68
_cell_angle_gamma 90.00
_symmetry_space_group_name_H-M 'P 1 2/m 1'
_symmetry_Int_Tables_number 10
loop_
_symmetry_equiv_pos_as_xyz
'x,y,z'
'-x,-y,-z'
'-x,y,-z'
'x,-y,z'
loop_
_atom_site_label
_atom_site_fract_x
_atom_site_fract_y
_atom_site_fract_z
Ce1 0.0000 0.0000 0.0000
Pu1 0.0000 0.5000 0.5000
Th1 0.5000 0.0000 0.5000
Th2 0.5000 0.5000 0.0000
N1 0.2438 0.0000 0.7451
N2 0.2477 0.5000 0.2498
```

Main lines, low angle first (10° ≤ 2θ ≤ 90°):
- (0 0 2), 2.946 Å, 2θ 30.3, I 100
- (2 0 0), 2.933 Å, 2θ 30.5, I 33
- (1 1 1), 2.549 Å, 2θ 35.2, I 89
- (0 2 0), 1.805 Å, 2θ 50.6, I 32
- (2 0 2), 1.799 Å, 2θ 50.7, I 32
- (0 2 2), 1.539 Å, 2θ 60.1, I 26
- (2 2 0), 1.536 Å, 2θ 60.2, I 26
- (3 1 1), 1.533 Å, 2θ 60.4, I 10
- (0 0 4), 1.473 Å, 2θ 63.1, I 16
- (2 2 -4), 1.171 Å, 2θ 82.3, I 13
- (1 3 1), 1.141 Å, 2θ 85.0, I 10
- (4 2 0), 1.138 Å, 2θ 85.3, I 10

# 4
For BeIn2Si, a cell relaxed with PBE gives the calculated powder diffraction line list in this record (Cu Kα).
Intensities are scaled so that the largest is 100.

Structure:
```
data_BeIn2Si
_cell_length_a 6.7268
_cell_length_b 3.8753
_cell_length_c 6.7392
_cell_angle_alpha 90.00
_cell_angle_beta 109.04
_cell_angle_gamma 90.00
_symmetry_space_group_name_H-M 'C 1 m 1'
_symmetry_Int_Tables_number 8
loop_
_symmetry_equiv_pos_as_xyz
'x,y,z'
'x,-y,z'
'x+1/2,y+1/2,z'
'x+1/2,-y+1/2,z'
loop_
_atom_site_label
_atom_site_fract_x
_atom_site_fract_y
_atom_site_fract_z
Be1 0.0000 0.0000 0.0000
In1 0.2341 0.0000 0.6945
In2 0.4386 0.0000 0.3174
Si1 0.1698 0.5000 0.0084
```

Main lines, low angle first (10° ≤ 2θ ≤ 90°):
- (1 1 0), 3.309 Å, 2θ 26.9, I 100
- (0 0 2), 3.185 Å, 2θ 28.0, I 21
- (1 1 1), 2.752 Å, 2θ 32.5, I 69
- (2 0 -2), 2.741 Å, 2θ 32.7, I 35
- (2 0 1), 2.534 Å, 2θ 35.4, I 36
- (1 1 -2), 2.518 Å, 2θ 35.7, I 69
- (0 0 3), 2.123 Å, 2θ 42.6, I 23
- (3 1 -1), 1.941 Å, 2θ 46.8, I 42
- (0 2 0), 1.938 Å, 2θ 46.9, I 18
- (1 1 3), 1.663 Å, 2θ 55.2, I 19
- (2 2 1), 1.540 Å, 2θ 60.1, I 19
- (1 3 -2), 1.204 Å, 2θ 79.7, I 14

# 5
For Ce2Ga12Ru, a cell relaxed with PBE gives the calculated powder diffraction line list in this record (Cu Kα).
Intensities are scaled so that the largest is 100.

Structure:
```
data_Ce2Ga12Ru
_cell_length_a 6.0676
_cell_length_b 6.0676
_cell_length_c 15.7099
_cell_angle_alpha 90.00
_cell_angle_beta 90.00
_cell_angle_gamma 90.00
_symmetry_space_group_name_H-M 'P 4/n b m'
_symmetry_Int_Tables_number 125
loop_
_symmetry_equiv_pos_as_xyz
'x,y,z'
'-x,-y,-z'
'-y+1/2,x,z'
'y+1/2,-x,-z'
'-x+1/2,-y+1/2,z'
'x+1/2,y+1/2,-z'
'y,-x+1/2,z'
'-y,x+1/2,-z'
'x,-y+1/2,-z'
'-x,y+1/2,z'
'-y+1/2,-x+1/2,-z'
'y+1/2,x+1/2,z'
'-x+1/2,y,-z'
'x+1/2,-y,z'
'y,x,-z'
'-y,-x,z'
loop_
_atom_site_label
_atom_site_fract_x
_atom_site_fract_y
_atom_site_fract_z
Ce1 0.2500 0.7500 0.2404
Ga1 0.0001 0.9999 0.0874
Ga2 0.0803 0.5803 0.4305
Ga3 0.2500 0.2500 0.1900
Ga4 0.2500 0.2500 0.3450
Ru1 0.2500 0.7500 0.0000
```

Main lines, low angle first (10° ≤ 2θ ≤ 90°):
- (1 1 4), 2.897 Å, 2θ 30.9, I 70
- (2 0 2), 2.830 Å, 2θ 31.6, I 100
- (0 0 6), 2.620 Å, 2θ 34.2, I 18
- (2 1 3), 2.409 Å, 2θ 37.3, I 17
- (2 0 4), 2.401 Å, 2θ 37.5, I 44
- (1 1 6), 2.234 Å, 2θ 40.4, I 46
- (2 0 5), 2.182 Å, 2θ 41.4, I 34
- (2 2 0), 2.145 Å, 2θ 42.1, I 78
- (2 0 6), 1.982 Å, 2θ 45.8, I 27
- (3 1 4), 1.724 Å, 2θ 53.1, I 35
- (3 1 8), 1.372 Å, 2θ 68.4, I 25
- (4 2 5), 1.246 Å, 2θ 76.5, I 17

# 6
For PrHIF, a cell relaxed with PBE gives the calculated powder diffraction line list in this record (Cu Kα).
Intensities are scaled so that the largest is 100.

Structure:
```
data_PrHIF
_cell_length_a 4.1259
_cell_length_b 4.2064
_cell_length_c 11.1525
_cell_angle_alpha 90.00
_cell_angle_beta 90.00
_cell_angle_gamma 90.00
_symmetry_space_group_name_H-M 'I m m 2'
_symmetry_Int_Tables_number 44
loop_
_symmetry_equiv_pos_as_xyz
'x,y,z'
'-x,-y,z'
'-x,y,z'
'x,-y,z'
'x+1/2,y+1/2,z+1/2'
'-x+1/2,-y+1/2,z+1/2'
'-x+1/2,y+1/2,z+1/2'
'x+1/2,-y+1/2,z+1/2'
loop_
_atom_site_label
_atom_site_fract_x
_atom_site_fract_y
_atom_site_fract_z
Pr1 0.0000 0.0000 0.0000
H1 0.0000 0.5000 0.4271
I1 0.0000 0.0000 0.6705
F1 0.0000 0.5000 0.9197
```

Main lines, low angle first (10° ≤ 2θ ≤ 90°):
- (0 0 2), 5.576 Å, 2θ 15.9, I 49
- (0 1 1), 3.936 Å, 2θ 22.6, I 42
- (1 0 1), 3.870 Å, 2θ 23.0, I 67
- (1 1 0), 2.946 Å, 2θ 30.3, I 84
- (0 1 3), 2.786 Å, 2θ 32.1, I 100
- (1 0 3), 2.762 Å, 2θ 32.4, I 84
- (1 1 2), 2.604 Å, 2θ 34.4, I 38
- (0 2 0), 2.103 Å, 2θ 43.0, I 22
- (2 0 0), 2.063 Å, 2θ 43.9, I 21
- (1 2 3), 1.673 Å, 2θ 54.9, I 37
- (2 1 3), 1.658 Å, 2θ 55.4, I 42
- (1 1 6), 1.572 Å, 2θ 58.7, I 34

# 7
For Li5H9Pt2, a cell relaxed with PBE gives the calculated powder diffraction line list in this record (Cu Kα).
Intensities are scaled so that the largest is 100.

Structure:
```
data_Li5H9Pt2
_cell_length_a 8.2740
_cell_length_b 8.2740
_cell_length_c 8.4167
_cell_angle_alpha 90.00
_cell_angle_beta 90.00
_cell_angle_gamma 90.00
_symmetry_space_group_name_H-M 'I 4/m c m'
_symmetry_Int_Tables_number 140
_symmetry_space_group_name_Hall '-I 4 2c'
loop_
_atom_site_label
_atom_site_fract_x
_atom_site_fract_y
_atom_site_fract_z
Li1 0.0000 0.0000 0.0000
Li2 0.1483 0.3517 0.1597
H1 0.0000 0.5000 0.0000
H2 0.0738 0.2253 0.3628
Pt1 0.1579 0.3421 0.5000
```

Main lines, low angle first (10° ≤ 2θ ≤ 90°):
- (1 1 0), 5.851 Å, 2θ 15.1, I 15
- (0 0 2), 4.208 Å, 2θ 21.1, I 37
- (2 0 0), 4.137 Å, 2θ 21.5, I 12
- (2 1 1), 3.387 Å, 2θ 26.3, I 100
- (3 1 0), 2.616 Å, 2θ 34.3, I 15
- (2 1 3), 2.236 Å, 2θ 40.3, I 37
- (3 1 2), 2.222 Å, 2θ 40.6, I 16
- (3 3 0), 1.951 Å, 2θ 46.5, I 24
- (3 3 2), 1.769 Å, 2θ 51.7, I 13
- (2 1 5), 1.532 Å, 2θ 60.4, I 10
- (5 2 1), 1.511 Å, 2θ 61.3, I 13
- (5 2 3), 1.348 Å, 2θ 69.8, I 10

# 8
For Sc4C23, a cell relaxed with PBE gives the calculated powder diffraction line list in this record (Cu Kα).
Intensities are scaled so that the largest is 100.

Structure:
```
data_Sc4C23
_cell_length_a 7.2660
_cell_length_b 7.2660
_cell_length_c 7.2660
_cell_angle_alpha 90.00
_cell_angle_beta 90.00
_cell_angle_gamma 90.00
_symmetry_space_group_name_H-M 'P m -3 n'
_symmetry_Int_Tables_number 223
_symmetry_space_group_name_Hall '-P 4n 2 3'
loop_
_atom_site_label
_atom_site_fract_x
_atom_site_fract_y
_atom_site_fract_z
Sc1 0.0000 0.0000 0.0000
Sc2 0.0000 0.2500 0.5000
C1 0.0000 0.2920 0.1777
C2 0.0000 0.5000 0.2500
C3 0.1853 0.1853 0.1853
```

Main lines, low angle first (10° ≤ 2θ ≤ 90°):
- (2 1 0), 3.249 Å, 2θ 27.4, I 26
- (2 1 1), 2.966 Å, 2θ 30.1, I 62
- (2 2 2), 2.098 Å, 2θ 43.1, I 8
- (3 2 0), 2.015 Å, 2θ 45.0, I 56
- (3 2 1), 1.942 Å, 2θ 46.8, I 100
- (4 0 0), 1.817 Å, 2θ 50.2, I 35
- (4 2 0), 1.625 Å, 2θ 56.7, I 9
- (4 2 1), 1.586 Å, 2θ 58.2, I 7
- (4 3 2), 1.349 Å, 2θ 69.7, I 13
- (4 4 0), 1.284 Å, 2θ 73.8, I 14
- (6 0 0), 1.211 Å, 2θ 79.1, I 10
- (5 3 2), 1.179 Å, 2θ 81.7, I 31

# 9
For Sr2TiSe4, a cell relaxed with PBE gives the calculated powder diffraction line list in this record (Cu Kα).
Intensities are scaled so that the largest is 100.

Structure:
```
data_Sr2TiSe4
_cell_length_a 7.0918
_cell_length_b 7.0453
_cell_length_c 8.6651
_cell_angle_alpha 90.00
_cell_angle_beta 108.03
_cell_angle_gamma 90.00
_symmetry_space_group_name_H-M 'P 1 21/m 1'
_symmetry_Int_Tables_number 11
loop_
_symmetry_equiv_pos_as_xyz
'x,y,z'
'-x,-y,-z'
'-x,y+1/2,-z'
'x,-y+1/2,z'
loop_
_atom_site_label
_atom_site_fract_x
_atom_site_fract_y
_atom_site_fract_z
Sr1 0.2167 0.2500 0.0496
Sr2 0.2624 0.2500 0.5675
Ti1 0.2313 0.7500 0.8025
Se1 0.0018 0.5068 0.2608
Se2 0.4096 0.7500 0.0837
Se3 0.4303 0.7500 0.6250
```

Main lines, low angle first (10° ≤ 2θ ≤ 90°):
- (0 2 0), 3.523 Å, 2θ 25.3, I 25
- (2 0 -2), 3.124 Å, 2θ 28.6, I 100
- (1 0 2), 3.113 Å, 2θ 28.7, I 42
- (2 1 -2), 2.858 Å, 2θ 31.3, I 46
- (1 1 2), 2.848 Å, 2θ 31.4, I 45
- (0 2 2), 2.679 Å, 2θ 33.5, I 79
- (2 2 0), 2.436 Å, 2θ 36.9, I 30
- (1 0 -4), 2.166 Å, 2θ 41.7, I 34
- (2 3 -2), 1.876 Å, 2θ 48.5, I 26
- (2 2 -4), 1.780 Å, 2θ 51.3, I 19
- (0 4 0), 1.762 Å, 2θ 51.9, I 25
- (2 4 -2), 1.534 Å, 2θ 60.3, I 20

# 10
For UCo4B2, a cell relaxed with PBE gives the calculated powder diffraction line list in this record (Cu Kα).
Intensities are scaled so that the largest is 100.

Structure:
```
data_UCo4B2
_cell_length_a 3.5480
_cell_length_b 11.7552
_cell_length_c 3.6172
_cell_angle_alpha 90.00
_cell_angle_beta 90.00
_cell_angle_gamma 90.00
_symmetry_space_group_name_H-M 'C m m m'
_symmetry_Int_Tables_number 65
_symmetry_space_group_name_Hall '-C 2 2'
loop_
_atom_site_label
_atom_site_fract_x
_atom_site_fract_y
_atom_site_fract_z
U1 0.0000 0.0000 0.0000
Co1 0.0000 0.1754 0.5000
Co2 0.0000 0.3295 0.0000
B1 0.0000 0.4176 0.5000
```

Main lines, low angle first (10° ≤ 2θ ≤ 90°):
- (0 0 1), 3.617 Å, 2θ 24.6, I 20
- (1 1 0), 3.397 Å, 2θ 26.2, I 34
- (0 2 1), 3.081 Å, 2θ 29.0, I 31
- (1 3 0), 2.630 Å, 2θ 34.1, I 21
- (0 4 1), 2.281 Å, 2θ 39.5, I 13
- (1 3 1), 2.127 Å, 2θ 42.5, I 100
- (0 6 0), 1.959 Å, 2θ 46.3, I 29
- (0 0 2), 1.809 Å, 2θ 50.5, I 16
- (2 0 0), 1.774 Å, 2θ 51.5, I 15
- (0 6 2), 1.329 Å, 2θ 70.9, I 16
- (1 9 1), 1.161 Å, 2θ 83.2, I 13
- (1 3 3), 1.096 Å, 2θ 89.4, I 12

# 11
For Tb3Nd5Sm3, a cell relaxed with PBE gives the calculated powder diffraction line list in this record (Cu Kα).
Intensities are scaled so that the largest is 100.

Structure:
```
data_Tb3Nd5Sm3
_cell_length_a 11.3832
_cell_length_b 11.3832
_cell_length_c 3.4685
_cell_angle_alpha 90.00
_cell_angle_beta 90.00
_cell_angle_gamma 120.00
_symmetry_space_group_name_H-M 'P -6 2 m'
_symmetry_Int_Tables_number 189
_symmetry_space_group_name_Hall 'P -6 -2'
loop_
_atom_site_label
_atom_site_fract_x
_atom_site_fract_y
_atom_site_fract_z
Tb1 0.0000 0.8408 0.0000
Nd1 0.0000 0.3387 0.0000
Nd2 0.3333 0.6667 0.0000
Sm1 0.0000 0.5970 0.5000
```

Main lines, low angle first (10° ≤ 2θ ≤ 90°):
- (2 1 0), 3.726 Å, 2θ 23.9, I 37
- (0 0 1), 3.468 Å, 2θ 25.7, I 28
- (3 0 0), 3.286 Å, 2θ 27.1, I 82
- (1 1 1), 2.962 Å, 2θ 30.2, I 91
- (2 2 0), 2.846 Å, 2θ 31.4, I 34
- (3 1 0), 2.734 Å, 2θ 32.8, I 100
- (2 1 1), 2.539 Å, 2θ 35.4, I 75
- (2 2 1), 2.200 Å, 2θ 41.0, I 82
- (3 2 1), 1.895 Å, 2θ 48.0, I 51
- (6 0 0), 1.642 Å, 2θ 56.0, I 32
- (6 0 1), 1.485 Å, 2θ 62.6, I 41
- (3 1 2), 1.464 Å, 2θ 63.5, I 30